Record 1
MgRe7: theoretical XRD peak list (Cu Ka), based on a DFT-relaxed cell (GGA-PBE, Alexandria).

Main lines, sorted by position (10 to 90 degrees two-theta):
2θ/deg	I/Imax
19.6	9
22.6	5
32.2	4
37.9	5
39.7	100
46.2	49
50.6	2
52.0	2
61.2	2
67.4	32
81.1	39
85.6	11

Crystal structure
Cell: 7.8638 7.8638 7.8638 Å, 90.00 90.00 90.00°
Space group Fm-3m (No. 225)
One atom of each set of equivalent atoms:
Mg1 0.0000 0.0000 0.0000 x4
Re1 0.0000 0.0000 0.5000 x4
Re2 0.0000 0.2500 0.2500 x24



Record 2
Sm3CuSi3: theoretical XRD peak list (Cu Ka), based on a DFT-relaxed cell (GGA-PBE, Alexandria).

Main lines, sorted by position (10 to 90 degrees two-theta):
2θ/deg	I/Imax
21.3	15
26.9	53
29.8	20
32.3	100
32.5	60
36.7	19
41.9	18
42.2	23
45.6	19
50.7	21
51.3	14
57.1	24

Crystal structure
Cell: 3.9780 4.2849 17.9756 Å, 90.00 90.00 90.00°
Space group Imm2 (No. 44)
One atom of each set of equivalent atoms:
Sm1 0.0000 0.0000 0.0000 x2
Sm2 0.0000 0.0000 0.3677 x2
Sm3 0.0000 0.5000 0.6858 x2
Cu1 0.0000 0.5000 0.1170 x2
Si1 0.0000 0.0000 0.5454 x2
Si2 0.0000 0.0000 0.8255 x2
Si3 0.0000 0.5000 0.2446 x2



Record 3
Mn3Mo3N: theoretical XRD peak list (Cu Ka), based on a DFT-relaxed cell (GGA-PBE, Alexandria).

Main lines, sorted by position (10 to 90 degrees two-theta):
2θ/deg	I/Imax
32.3	12
35.3	18
39.9	45
42.4	100
46.4	41
49.3	7
59.6	9
64.6	8
69.4	11
72.4	38
74.1	9
87.6	17

Crystal structure
Cell: 11.0800 11.0800 11.0800 Å, 90.00 90.00 90.00°
Space group Fd-3m (No. 227, origin choice 2)
One atom of each set of equivalent atoms:
Mn1 0.0000 0.0000 0.0000 x16
Mn2 0.0465 0.0465 0.2035 x32
Mo1 0.0744 0.3750 0.8750 x48
N1 0.0000 0.0000 0.5000 x16